Starting from a crystal structure in Alexandria, relaxed with GGA-PBE, the powder diffraction line list of Th2MgFe was simulated for a wavelength of 1.5418 Å.
No peak broadening, texture or thermal motion is included.

Top 6 peaks for 2θ = 15–90°, in order of rising 2θ:
2θ/deg  d [Å]  I_rel
22.11  4.020  62
29.68  3.010  61
32.59  2.747  100
33.44  2.680  61
34.25  2.618  84
34.39  2.607  70

```
Th2MgFe
1.0
6.871 -1.822 0.000
6.871 1.822 0.000
-0.991 0.000 8.040
Th Mg Fe
4 2 2
direct
0.047 0.047 0.304
0.226 0.226 0.678
0.774 0.774 0.322
0.953 0.953 0.696
0.383 0.383 0.040
0.617 0.617 0.960
0.410 0.410 0.401
0.590 0.590 0.599
```

=====

Starting from a crystal structure in Alexandria, relaxed with GGA-PBE, the powder diffraction line list of MgTlFe2 was simulated for a wavelength of 1.5418 Å.
No peak broadening, texture or thermal motion is included.

Top 6 peaks for 2θ = 15–90°, in order of rising 2θ:
2θ/deg  d [Å]  I_rel
26.31  3.387  21
28.07  3.179  37
31.08  2.878  53
38.85  2.318  100
40.12  2.248  56
72.05  1.311  31

```
MgTlFe2
1.0
3.179 0.000 0.000
0.000 3.179 0.000
0.000 0.000 6.774
Mg Tl Fe
1 1 2
direct
0.000 0.000 0.000
0.500 0.500 0.324
0.000 0.000 0.602
0.500 0.500 0.752
```

=====

Starting from a crystal structure in Alexandria, relaxed with GGA-PBE, the powder diffraction line list of Mg14VFe was simulated for a wavelength of 1.5418 Å.
No peak broadening, texture or thermal motion is included.

Top 6 peaks for 2θ = 15–90°, in order of rising 2θ:
2θ/deg  d [Å]  I_rel
33.10  2.707  25
36.05  2.492  25
37.82  2.379  100
59.12  1.563  17
65.99  1.416  17
71.23  1.324  18

```
Mg14VFe
1.0
6.251 0.000 0.000
-3.125 5.413 0.000
0.000 0.000 9.967
Mg V Fe
14 1 1
direct
0.000 0.000 0.248
0.000 0.000 0.752
0.013 0.506 0.255
0.013 0.506 0.745
0.332 0.166 0.500
0.337 0.168 0.000
0.494 0.506 0.255
0.494 0.506 0.745
0.494 0.987 0.255
0.494 0.987 0.745
0.832 0.168 0.000
0.832 0.663 0.000
0.834 0.166 0.500
0.834 0.668 0.500
0.333 0.667 0.000
0.333 0.667 0.500
```

=====

Starting from a crystal structure in Alexandria, relaxed with GGA-PBE, the powder diffraction line list of Mg6FeW was simulated for a wavelength of 1.5418 Å.
No peak broadening, texture or thermal motion is included.

Top 6 peaks for 2θ = 15–90°, in order of rising 2θ:
2θ/deg  d [Å]  I_rel
16.50  5.373  79
17.46  5.080  50
18.43  4.814  55
24.83  3.586  48
38.37  2.346  69
40.14  2.247  100

```
Mg6FeW
1.0
4.814 0.000 0.000
0.000 2.882 5.373
0.000 -2.882 5.373
Mg Fe W
6 1 1
direct
0.000 0.000 0.000
0.000 0.009 0.518
0.000 0.491 0.491
0.000 0.518 0.009
0.500 0.353 0.853
0.500 0.853 0.353
0.500 0.348 0.348
0.500 0.855 0.855
```

=====

Starting from a crystal structure in Alexandria, relaxed with GGA-PBE, the powder diffraction line list of YMg14Fe was simulated for a wavelength of 1.5418 Å.
No peak broadening, texture or thermal motion is included.

Top 6 peaks for 2θ = 15–90°, in order of rising 2θ:
2θ/deg  d [Å]  I_rel
32.94  2.719  35
34.95  2.567  42
36.22  2.480  66
37.43  2.403  100
48.79  1.867  22
68.75  1.365  23

```
YMg14Fe
1.0
10.268 0.000 0.000
0.000 3.100 5.664
0.000 -3.100 5.664
Y Mg Fe
1 14 1
direct
0.000 0.000 0.000
0.000 0.010 0.493
0.000 0.493 0.010
0.221 0.634 0.634
0.247 0.152 0.644
0.247 0.644 0.152
0.260 0.151 0.151
0.500 0.486 0.486
0.500 0.490 0.980
0.500 0.980 0.490
0.500 0.983 0.983
0.740 0.151 0.151
0.753 0.152 0.644
0.753 0.644 0.152
0.779 0.634 0.634
0.000 0.475 0.475
```

=====

Starting from a crystal structure in Alexandria, relaxed with GGA-PBE, the powder diffraction line list of Mg14ZnFe was simulated for a wavelength of 1.5418 Å.
No peak broadening, texture or thermal motion is included.

Top 6 peaks for 2θ = 15–90°, in order of rising 2θ:
2θ/deg  d [Å]  I_rel
33.35  2.687  26
35.62  2.521  26
37.95  2.371  100
59.61  1.551  16
65.52  1.425  18
71.41  1.321  18

```
Mg14ZnFe
1.0
6.204 0.000 0.000
-3.102 5.373 0.000
0.000 0.000 10.082
Mg Zn Fe
14 1 1
direct
0.000 0.000 0.250
0.000 0.000 0.750
0.011 0.506 0.244
0.011 0.506 0.756
0.332 0.166 0.000
0.334 0.167 0.500
0.494 0.506 0.244
0.494 0.506 0.756
0.494 0.989 0.244
0.494 0.989 0.756
0.833 0.167 0.500
0.833 0.666 0.500
0.834 0.166 0.000
0.834 0.668 0.000
0.333 0.667 0.500
0.333 0.667 0.000
```

=====

Starting from a crystal structure in Alexandria, relaxed with GGA-PBE, the powder diffraction line list of Mg14ZnFe was simulated for a wavelength of 1.5418 Å.
No peak broadening, texture or thermal motion is included.

Top 6 peaks for 2θ = 15–90°, in order of rising 2θ:
2θ/deg  d [Å]  I_rel
33.19  2.699  23
35.57  2.524  36
37.80  2.380  100
38.12  2.361  43
65.36  1.428  16
71.52  1.319  16

```
Mg14ZnFe
1.0
10.095 0.000 0.000
0.000 3.128 5.342
0.000 -3.128 5.342
Mg Zn Fe
14 1 1
direct
0.000 0.000 0.000
0.000 0.495 0.998
0.000 0.500 0.500
0.000 0.998 0.495
0.251 0.830 0.830
0.256 0.333 0.333
0.272 0.329 0.822
0.272 0.822 0.329
0.500 0.010 0.509
0.500 0.509 0.010
0.728 0.329 0.822
0.728 0.822 0.329
0.744 0.333 0.333
0.749 0.830 0.830
0.500 0.998 0.998
0.500 0.498 0.498
```

=====

Starting from a crystal structure in Alexandria, relaxed with GGA-PBE, the powder diffraction line list of MgZr2Fe was simulated for a wavelength of 1.5418 Å.
No peak broadening, texture or thermal motion is included.

Top 6 peaks for 2θ = 15–90°, in order of rising 2θ:
2θ/deg  d [Å]  I_rel
15.87  5.586  28
25.92  3.437  22
35.37  2.538  38
36.04  2.492  100
38.27  2.352  59
41.42  2.180  31

```
MgZr2Fe
1.0
3.207 0.000 0.000
0.000 4.360 0.000
-1.321 0.000 5.586
Mg Zr Fe
1 2 1
direct
0.000 0.000 0.000
0.315 0.000 0.553
0.606 0.500 0.234
0.928 0.500 0.691
```